No. 1
The following is a theoretical X-ray diffraction stick pattern of Li3Cu3P2O8. It was derived from a GGA-PBE-relaxed structure, using Cu Kα (λ = 1.5418 Å).
Intensities are scaled so that the largest is 100.

The 8 most intense peaks (10° ≤ 2θ ≤ 90°), in order of rising 2θ:
2theta, d/Å, Rel. int.
22.21, 4.003, 29
24.01, 3.707, 100
32.64, 2.744, 29
33.43, 2.680, 62
34.97, 2.566, 80
36.92, 2.435, 30
37.40, 2.404, 29
37.84, 2.378, 48

Cell and atoms:
Cell: 5.133 5.363 6.266 Å, 88.09 89.03 89.94°
Fractional positions:
Li (0.000, 0.000, 0.000)
Li (0.011, 0.000, 0.502)
Li (0.497, 0.643, 0.996)
Cu (0.031, 0.541, 0.743)
Cu (0.483, 0.675, 0.482)
Cu (0.515, 0.092, 0.259)
P (0.500, 0.150, 0.758)
P (0.988, 0.489, 0.239)
O (0.082, 0.634, 0.438)
O (0.089, 0.216, 0.245)
O (0.101, 0.637, 0.038)
O (0.200, 0.128, 0.749)
O (0.591, 0.425, 0.759)
O (0.605, 0.001, 0.959)
O (0.629, 0.022, 0.559)
O (0.686, 0.493, 0.238)

No. 2
The following is a theoretical X-ray diffraction stick pattern of CeThTlZn. It was derived from a GGA-PBE-relaxed structure, using Cu Kα (λ = 1.5418 Å).
Intensities are scaled so that the largest is 100.

The 8 most intense peaks (10° ≤ 2θ ≤ 90°), in order of rising 2θ:
2theta, d/Å, Rel. int.
20.28, 4.378, 13
33.42, 2.681, 100
39.41, 2.286, 8
47.99, 1.896, 18
59.74, 1.548, 38
70.22, 1.340, 12
80.03, 1.199, 17
89.56, 1.094, 4

Cell and atoms:
Cell: 5.362 5.362 5.362 Å, 60.00 60.00 60.00°
Fractional positions:
Ce (0.000, 0.000, 0.000)
Th (0.500, 0.500, 0.500)
Tl (0.750, 0.750, 0.750)
Zn (0.250, 0.250, 0.250)